1.
Simulated powder diffraction line list of Na4CuP6H8O22 for CuKα, from a PBE-relaxed structure.
Lines closer than 0.1° are merged.

Top 12 peaks for 10° ≤ 2θ ≤ 80°, by angle:
2θ (°), I (rel.)
11.2, 68
15.0, 100
18.3, 39
24.0, 41
26.4, 53
27.2, 40
28.5, 71
29.6, 93
29.8, 48
32.6, 50
33.8, 37
50.5, 40

Structural model:
```
Na4CuP6H8O22
1.0
7.185 0.000 0.000
1.119 7.934 0.000
1.776 0.610 8.217
Na Cu P H O
4 1 6 8 22
Cartesian
1.244 2.523 0.770 Na
4.285 3.772 5.782 Na
5.795 4.772 2.435 Na
8.836 6.021 7.447 Na
0.888 0.305 4.109 Cu
2.983 0.606 6.538 P
4.978 6.241 8.141 P
4.002 1.858 2.753 P
6.078 6.686 5.464 P
5.102 2.303 0.077 P
7.097 7.938 1.680 P
1.439 4.863 2.588 H
1.419 3.407 3.191 H
3.106 6.446 2.595 H
3.581 6.277 4.099 H
6.499 2.267 4.119 H
6.974 2.098 5.623 H
8.661 5.137 5.026 H
8.642 3.681 5.630 H
1.981 4.511 5.589 O
2.855 7.916 5.933 O
2.790 6.528 3.541 O
3.021 2.067 6.827 O
3.933 5.232 7.775 O
4.400 7.754 7.919 O
2.598 1.702 3.230 O
3.825 5.614 1.285 O
5.401 8.158 5.632 O
3.890 2.318 1.180 O
5.143 5.762 4.721 O
4.937 2.782 3.497 O
6.190 6.226 7.037 O
4.680 0.386 2.586 O
6.256 2.930 6.932 O
7.482 6.842 4.987 O
5.680 0.790 0.298 O
6.147 3.313 0.442 O
7.060 6.477 1.390 O
7.290 2.016 4.676 O
7.226 0.628 2.285 O
8.100 4.033 2.628 O
```

2.
Simulated powder diffraction line list of NaCu2H3S2O10 for CuKα, from a PBE-relaxed structure.
Lines closer than 0.1° are merged.

Top 12 peaks for 10° ≤ 2θ ≤ 80°, by angle:
2θ (°), I (rel.)
13.3, 100
18.2, 31
20.0, 22
25.2, 93
27.3, 53
31.4, 72
32.1, 60
33.6, 24
35.0, 84
38.3, 46
50.3, 28
53.4, 33

Structural model:
```
NaCu2H3S2O10
1.0
4.452 -3.148 0.000
4.452 3.148 0.000
-3.816 0.000 6.652
Na Cu H S O
1 2 3 2 10
Cartesian
0.000 0.000 0.000 Na
0.318 1.574 3.326 Cu
0.318 -1.574 3.326 Cu
-1.908 0.000 3.326 H
-0.904 0.000 4.800 H
5.992 0.000 1.852 H
2.883 0.000 1.326 S
2.206 0.000 5.325 S
-0.801 0.000 3.811 O
1.419 1.238 4.948 O
-1.160 0.000 6.534 O
1.572 0.000 2.035 O
3.669 1.238 1.704 O
1.419 -1.238 4.948 O
3.516 0.000 4.617 O
6.249 0.000 0.118 O
3.669 -1.238 1.704 O
5.890 0.000 2.841 O
```

3.
Simulated powder diffraction line list of NaCu2H3S2O10 for CuKα, from a PBE-relaxed structure.
Lines closer than 0.1° are merged.

Top 12 peaks for 10° ≤ 2θ ≤ 80°, by angle:
2θ (°), I (rel.)
13.3, 100
18.1, 32
19.9, 22
25.1, 92
27.2, 53
31.3, 71
31.9, 60
33.4, 24
34.8, 82
38.2, 45
50.2, 28
53.2, 32

Structural model:
```
NaCu2H3S2O10
1.0
4.473 -3.160 0.000
4.473 3.160 0.000
-3.819 0.000 6.668
Na Cu H S O
1 2 3 2 10
Cartesian
0.000 0.000 0.000 Na
0.314 1.558 3.345 Cu
0.314 -1.558 3.345 Cu
-0.891 0.000 4.806 H
6.034 0.000 1.844 H
6.912 0.000 3.278 H
2.900 0.000 1.337 S
2.227 0.000 5.331 S
-0.785 0.000 3.816 O
1.444 1.235 4.953 O
-1.147 0.000 6.563 O
1.586 0.000 2.043 O
3.685 1.235 1.715 O
1.444 -1.235 4.953 O
3.541 0.000 4.625 O
6.272 0.000 0.107 O
3.685 -1.235 1.715 O
5.908 0.000 2.836 O
```

4.
Simulated powder diffraction line list of Na2CuH4S2O10 for CuKα, from a PBE-relaxed structure.
Lines closer than 0.1° are merged.

Top 12 peaks for 10° ≤ 2θ ≤ 80°, by angle:
2θ (°), I (rel.)
13.8, 85
17.4, 30
21.2, 46
23.4, 69
26.3, 33
26.8, 100
27.8, 56
28.2, 48
30.4, 91
31.8, 91
32.1, 49
40.0, 27

Structural model:
```
Na2CuH4S2O10
1.0
5.881 0.000 0.000
0.000 12.833 0.000
-1.903 0.000 5.310
Na Cu H S O
4 2 8 4 20
Cartesian
0.004 1.585 1.124 Na
-0.948 4.831 3.779 Na
4.925 8.002 1.531 Na
3.973 11.247 4.186 Na
2.940 0.000 0.000 Cu
1.989 6.416 2.655 Cu
-0.302 1.856 4.161 H
0.650 4.560 1.506 H
0.646 2.554 5.228 H
1.597 3.863 2.573 H
2.380 8.970 2.737 H
3.331 10.279 0.082 H
3.327 8.272 3.804 H
4.279 10.977 1.149 H
-0.287 7.947 5.071 S
0.665 11.302 2.416 S
3.312 1.530 2.894 S
4.264 4.886 0.239 S
-1.459 8.874 4.960 O
-0.507 10.375 2.305 O
-0.152 7.164 3.816 O
0.799 12.084 1.161 O
1.257 6.990 0.890 O
0.305 12.259 3.545 O
0.116 1.720 5.061 O
1.067 4.696 2.406 O
2.862 8.670 0.077 O
1.910 10.579 2.732 O
2.067 2.253 2.578 O
1.116 4.163 5.233 O
2.910 8.136 2.904 O
3.862 11.113 0.249 O
3.672 0.573 1.765 O
2.720 5.843 4.420 O
3.178 0.748 4.149 O
4.130 5.668 1.494 O
4.484 2.458 3.005 O
5.436 3.958 0.350 O
```